(1)
Calculated powder diffraction line list
Compound: La2Zn
Radiation: Cu Kα X-rays
Structure: DFT lattice parameters and positions (GGA-PBE)
Peak positions follow from Bragg's law for the DFT cell and can differ from measured ones.

Cell and atoms:
Cell: 8.2028 8.2028 4.6608 Å, 90.00 90.00 120.00°
Space group P-62m (No. 189)
One atom of each set of equivalent atoms:
La (0.0000, 0.2735, 0.0000) [3 per cell]
La (0.0000, 0.5996, 0.5000) [3 per cell]
Zn (0.0000, 0.0000, 0.5000) [1 per cell]
Zn (0.3333, 0.6667, 0.0000) [2 per cell]

Largest 6 diffraction maxima, low angle first, 2θ = 10–90°:
hkl 1 1 1, 29.00°, intensity 100.0; hkl 2 0 1, 31.67°, intensity 52.2; hkl 2 1 0, 33.37°, intensity 32.6; hkl 3 0 0, 38.00°, intensity 31.3; hkl 0 0 2, 38.66°, intensity 33.9; hkl 3 0 2, 55.32°, intensity 24.9

=====

(2)
Calculated powder diffraction line list
Compound: LaZn4
Radiation: Cu Kα X-rays
Structure: DFT lattice parameters and positions (GGA-PBE)
Peak positions follow from Bragg's law for the DFT cell and can differ from measured ones.

Cell and atoms:
Cell: 6.3727 10.2508 6.0744 Å, 90.00 90.00 90.00°
Space group Cmcm (No. 63)
One atom of each set of equivalent atoms:
La (0.0000, 0.2297, 0.2500) [4 per cell]
Zn (0.0000, 0.1053, 0.7500) [4 per cell]
Zn (0.0000, 0.3482, 0.7500) [4 per cell]
Zn (0.2136, 0.5000, 0.0000) [8 per cell]

Largest 6 diffraction maxima, low angle first, 2θ = 10–90°:
hkl 2 2 0, 33.10°, intensity 77.7; hkl 1 3 1, 33.21°, intensity 97.3; hkl 0 2 2, 34.32°, intensity 78.5; hkl 2 0 2, 41.06°, intensity 100.0; hkl 1 5 1, 49.03°, intensity 26.6; hkl 3 3 1, 52.95°, intensity 25.3